1.
Theoretical powder XRD pattern
Compound: NaSr4As4
Radiation: Cu Kα (λ = 1.5418 Å)
Structure: a GGA-PBE-relaxed structure
Peak positions follow from Bragg's law for the DFT cell and can differ from measured ones.

Crystal structure
Cell: 7.8300 15.9445 8.3129 Å, 90.00 90.00 90.00°
Space group Pnma (No. 62)
Inequivalent atoms, fractional coordinates:
Na  0.1837  0.2500  0.0181 (multiplicity 4)
Sr  0.0032  0.5950  0.6925 (multiplicity 8)
Sr  0.1480  0.6226  0.1670 (multiplicity 8)
As  0.0497  0.2500  0.5843 (multiplicity 4)
As  0.1937  0.0382  0.9633 (multiplicity 8)
As  0.2164  0.7500  0.8728 (multiplicity 4)

Principal peaks in the range 10° ≤ 2θ ≤ 90°, in order of rising 2θ:
- 2θ = 29.6°, d 3.021, I = 95.8
- 2θ = 30.3°, d 2.947, I = 100.0
- 2θ = 31.1°, d 2.877, I = 56.6
- 2θ = 33.2°, d 2.700, I = 40.1
- 2θ = 33.7°, d 2.657, I = 24.2
- 2θ = 33.9°, d 2.648, I = 33.6
- 2θ = 34.8°, d 2.578, I = 31.9
- 2θ = 36.1°, d 2.490, I = 49.4
- 2θ = 42.8°, d 2.115, I = 27.5
- 2θ = 45.5°, d 1.993, I = 26.6
- 2θ = 53.4°, d 1.715, I = 24.1
- 2θ = 61.6°, d 1.506, I = 26.2

---

2.
Theoretical powder XRD pattern
Compound: NbRh
Radiation: Cu Kα (λ = 1.5418 Å)
Structure: a GGA-PBE-relaxed structure
Peak positions follow from Bragg's law for the DFT cell and can differ from measured ones.

Crystal structure
Cell: 4.6010 2.8400 4.9391 Å, 90.00 90.00 90.00°
Space group Pmma (No. 51)
Inequivalent atoms, fractional coordinates:
Nb  0.2500  0.0000  0.1951 (multiplicity 2)
Rh  0.2500  0.5000  0.6868 (multiplicity 2)

Principal peaks in the range 10° ≤ 2θ ≤ 90°, in order of rising 2θ:
- 2θ = 36.4°, d 2.470, I = 22.8
- 2θ = 36.5°, d 2.462, I = 11.1
- 2θ = 39.2°, d 2.300, I = 34.3
- 2θ = 41.5°, d 2.176, I = 26.6
- 2θ = 41.6°, d 2.171, I = 100.0
- 2θ = 54.5°, d 1.683, I = 20.6
- 2θ = 65.5°, d 1.424, I = 11.7
- 2θ = 72.6°, d 1.302, I = 23.4
- 2θ = 79.1°, d 1.211, I = 13.5
- 2θ = 79.3°, d 1.208, I = 8.3
- 2θ = 80.5°, d 1.193, I = 7.9
- 2θ = 80.8°, d 1.189, I = 7.3

---

3.
Theoretical powder XRD pattern
Compound: SiNi3Mo2
Radiation: Cu Kα (λ = 1.5418 Å)
Structure: a GGA-PBE-relaxed structure
Peak positions follow from Bragg's law for the DFT cell and can differ from measured ones.

Crystal structure
Cell: 4.7454 4.7454 7.5335 Å, 90.00 90.00 120.00°
Space group P6_3/mmc (No. 194)
Inequivalent atoms, fractional coordinates:
Si  0.0000  0.0000  0.0000 (multiplicity 2)
Ni  0.1696  0.3392  0.2500 (multiplicity 6)
Mo  0.3333  0.6667  0.5638 (multiplicity 4)

Principal peaks in the range 10° ≤ 2θ ≤ 90°, in order of rising 2θ:
- 2θ = 21.6°, d 4.110, I = 9.8
- 2θ = 32.2°, d 2.777, I = 20.9
- 2θ = 37.9°, d 2.373, I = 36.6
- 2θ = 42.2°, d 2.143, I = 100.0
- 2θ = 44.1°, d 2.055, I = 26.0
- 2θ = 45.2°, d 2.008, I = 90.9
- 2θ = 45.8°, d 1.982, I = 91.7
- 2θ = 48.3°, d 1.883, I = 11.0
- 2θ = 71.4°, d 1.321, I = 37.0
- 2θ = 73.6°, d 1.287, I = 20.4
- 2θ = 78.8°, d 1.215, I = 32.5
- 2θ = 81.1°, d 1.186, I = 25.6

---

4.
Theoretical powder XRD pattern
Compound: MgHg3
Radiation: Cu Kα (λ = 1.5418 Å)
Structure: a GGA-PBE-relaxed structure
Peak positions follow from Bragg's law for the DFT cell and can differ from measured ones.

Crystal structure
Cell: 4.4199 4.4199 9.8556 Å, 90.00 90.00 90.00°
Space group I4/mmm (No. 139)
Inequivalent atoms, fractional coordinates:
Mg  0.0000  0.0000  0.0000 (multiplicity 2)
Hg  0.0000  0.0000  0.5000 (multiplicity 2)
Hg  0.0000  0.5000  0.2500 (multiplicity 4)

Principal peaks in the range 10° ≤ 2θ ≤ 90°, in order of rising 2θ:
- 2θ = 18.0°, d 4.928, I = 8.1
- 2θ = 22.0°, d 4.033, I = 20.6
- 2θ = 28.6°, d 3.125, I = 5.6
- 2θ = 34.0°, d 2.639, I = 100.0
- 2θ = 36.5°, d 2.464, I = 19.2
- 2θ = 40.8°, d 2.210, I = 28.3
- 2θ = 46.9°, d 1.937, I = 9.0
- 2θ = 55.9°, d 1.645, I = 23.3
- 2θ = 59.1°, d 1.563, I = 9.6
- 2θ = 64.0°, d 1.454, I = 15.2
- 2θ = 70.0°, d 1.345, I = 24.5
- 2θ = 71.5°, d 1.320, I = 12.0

---

5.
Theoretical powder XRD pattern
Compound: Hg3As2F12
Radiation: Cu Kα (λ = 1.5418 Å)
Structure: a GGA-PBE-relaxed structure
Peak positions follow from Bragg's law for the DFT cell and can differ from measured ones.

Crystal structure
Cell: 6.1180 8.7814 11.5635 Å, 90.00 92.34 90.00°
Space group P2_1/c (No. 14)
Inequivalent atoms, fractional coordinates:
Hg  0.0000  0.0000  0.0000 (multiplicity 2)
Hg  0.2389  0.2353  0.0703 (multiplicity 4)
As  0.2995  0.6415  0.1722 (multiplicity 4)
F  0.0416  0.5590  0.1384 (multiplicity 4)
F  0.1759  0.6901  0.7203 (multiplicity 4)
F  0.3013  0.5635  0.3138 (multiplicity 4)
F  0.3088  0.7179  0.0300 (multiplicity 4)
F  0.4247  0.0324  0.6212 (multiplicity 4)
F  0.4332  0.2137  0.2983 (multiplicity 4)

Principal peaks in the range 10° ≤ 2θ ≤ 90°, in order of rising 2θ:
- 2θ = 15.3°, d 5.777, I = 34.1
- 2θ = 17.7°, d 5.017, I = 24.4
- 2θ = 19.5°, d 4.546, I = 51.0
- 2θ = 20.7°, d 4.287, I = 100.0
- 2θ = 23.9°, d 3.727, I = 37.9
- 2θ = 25.3°, d 3.527, I = 27.0
- 2θ = 29.8°, d 3.003, I = 49.3
- 2θ = 32.6°, d 2.744, I = 37.7
- 2θ = 34.0°, d 2.640, I = 24.9
- 2θ = 35.8°, d 2.509, I = 46.3
- 2θ = 39.7°, d 2.273, I = 25.8
- 2θ = 40.7°, d 2.219, I = 24.4

---

6.
Theoretical powder XRD pattern
Compound: Ba2UGeO6
Radiation: Cu Kα (λ = 1.5418 Å)
Structure: a GGA-PBE-relaxed structure
Peak positions follow from Bragg's law for the DFT cell and can differ from measured ones.

Crystal structure
Cell: 8.7138 8.7138 8.7138 Å, 90.00 90.00 90.00°
Space group Fm-3m (No. 225)
Inequivalent atoms, fractional coordinates:
Ba  0.2500  0.2500  0.2500 (multiplicity 8)
U  0.0000  0.0000  0.0000 (multiplicity 4)
Ge  0.0000  0.0000  0.5000 (multiplicity 4)
O  0.0000  0.0000  0.2409 (multiplicity 24)

Principal peaks in the range 10° ≤ 2θ ≤ 90°, in order of rising 2θ:
- 2θ = 17.6°, d 5.031, I = 18.4
- 2θ = 29.0°, d 3.081, I = 100.0
- 2θ = 34.1°, d 2.627, I = 10.4
- 2θ = 41.5°, d 2.178, I = 29.4
- 2θ = 45.4°, d 1.999, I = 4.4
- 2θ = 51.4°, d 1.779, I = 41.8
- 2θ = 54.7°, d 1.677, I = 4.2
- 2θ = 60.1°, d 1.540, I = 18.9
- 2θ = 63.1°, d 1.473, I = 4.2
- 2θ = 68.0°, d 1.378, I = 18.8
- 2θ = 75.6°, d 1.258, I = 6.4
- 2θ = 82.9°, d 1.164, I = 22.7

---

7.
Theoretical powder XRD pattern
Compound: CeAlCo4
Radiation: Cu Kα (λ = 1.5418 Å)
Structure: a GGA-PBE-relaxed structure
Peak positions follow from Bragg's law for the DFT cell and can differ from measured ones.

Crystal structure
Cell: 5.0956 5.0956 3.8596 Å, 90.00 90.00 120.00°
Space group P-6m2 (No. 187)
Inequivalent atoms, fractional coordinates:
Ce  0.0000  0.0000  0.0000 (multiplicity 1)
Al  0.3333  0.6667  0.0000 (multiplicity 1)
Co  0.5033  0.0067  0.5000 (multiplicity 3)
Co  0.6667  0.3333  0.0000 (multiplicity 1)

Principal peaks in the range 10° ≤ 2θ ≤ 90°, in order of rising 2θ:
- 2θ = 20.1°, d 4.413, I = 9.0
- 2θ = 30.8°, d 2.905, I = 73.4
- 2θ = 35.2°, d 2.548, I = 28.1
- 2θ = 40.9°, d 2.206, I = 53.0
- 2θ = 42.5°, d 2.126, I = 100.0
- 2θ = 47.1°, d 1.930, I = 24.9
- 2θ = 60.2°, d 1.538, I = 11.8
- 2θ = 60.5°, d 1.531, I = 21.5
- 2θ = 64.1°, d 1.453, I = 26.4
- 2θ = 68.2°, d 1.375, I = 23.4
- 2θ = 74.5°, d 1.274, I = 17.7
- 2θ = 84.3°, d 1.148, I = 12.8

---

8.
Theoretical powder XRD pattern
Compound: K3Hf
Radiation: Cu Kα (λ = 1.5418 Å)
Structure: a GGA-PBE-relaxed structure
Peak positions follow from Bragg's law for the DFT cell and can differ from measured ones.

Crystal structure
Cell: 5.7876 5.7876 5.7876 Å, 90.00 90.00 90.00°
Space group Pm-3m (No. 221)
Inequivalent atoms, fractional coordinates:
K  0.0000  0.0000  0.5000 (multiplicity 3)
Hf  0.5000  0.5000  0.5000 (multiplicity 1)

Principal peaks in the range 10° ≤ 2θ ≤ 90°, in order of rising 2θ:
- 2θ = 15.3°, d 5.788, I = 52.5
- 2θ = 21.7°, d 4.092, I = 47.8
- 2θ = 26.7°, d 3.341, I = 100.0
- 2θ = 30.9°, d 2.894, I = 50.8
- 2θ = 34.7°, d 2.588, I = 30.5
- 2θ = 38.1°, d 2.363, I = 23.9
- 2θ = 44.3°, d 2.046, I = 36.3
- 2θ = 47.1°, d 1.929, I = 16.8
- 2θ = 52.4°, d 1.745, I = 43.2
- 2θ = 59.8°, d 1.547, I = 13.7
- 2θ = 71.0°, d 1.328, I = 16.8
- 2θ = 73.1°, d 1.294, I = 15.4

---

9.
Theoretical powder XRD pattern
Compound: Lu2Ti2O7
Radiation: Cu Kα (λ = 1.5418 Å)
Structure: a GGA-PBE-relaxed structure
Peak positions follow from Bragg's law for the DFT cell and can differ from measured ones.

Crystal structure
Cell: 10.0431 10.0431 10.0431 Å, 90.00 90.00 90.00°
Space group Fd-3m (No. 227, origin choice 2)
Inequivalent atoms, fractional coordinates:
Lu  0.0000  0.0000  0.0000 (multiplicity 16)
Ti  0.0000  0.0000  0.5000 (multiplicity 16)
O  0.0835  0.3750  0.8750 (multiplicity 48)
O  0.1250  0.1250  0.1250 (multiplicity 8)

Principal peaks in the range 10° ≤ 2θ ≤ 90°, in order of rising 2θ:
- 2θ = 15.3°, d 5.798, I = 36.0
- 2θ = 29.5°, d 3.028, I = 19.9
- 2θ = 30.8°, d 2.899, I = 100.0
- 2θ = 35.8°, d 2.511, I = 30.1
- 2θ = 39.1°, d 2.304, I = 21.8
- 2θ = 47.0°, d 1.933, I = 11.5
- 2θ = 51.5°, d 1.775, I = 47.7
- 2θ = 54.0°, d 1.698, I = 10.6
- 2θ = 61.2°, d 1.514, I = 41.4
- 2θ = 64.3°, d 1.450, I = 9.3
- 2θ = 84.0°, d 1.152, I = 17.0
- 2θ = 86.7°, d 1.123, I = 13.5